This entry pairs a crystal structure of Cs2LiFeBr6 with its theoretical powder diffraction line list. Radiation: Cu Ka. Structure: a structure optimized by DFT (GGA-PBE).
Intensities are scaled so that the largest is 100.

Structural model:
```
Cs2LiFeBr6
1.0
-3.832 3.832 5.430
3.832 -3.832 5.430
3.832 3.832 -5.430
Cs Li Fe Br
2 1 1 6
Cartesian
3.832 0.000 2.715 Cs
0.000 3.832 2.715 Cs
0.000 0.000 0.000 Li
0.000 0.000 5.430 Fe
1.998 1.998 0.000 Br
1.834 -1.834 5.430 Br
0.000 0.000 2.841 Br
0.000 0.000 8.018 Br
-1.834 1.834 5.430 Br
1.834 1.834 5.430 Br
```

Peak list (10 most intense, 2θ = 10–80°, by intensity)
2θ (°), I_rel
28.51, 100
33.04, 71
47.42, 50
56.27, 41
59.01, 17
76.59, 16
23.20, 14
79.01, 14
14.15, 9
78.87, 7

=====

This entry pairs a crystal structure of CsPrFe2Br8 with its theoretical powder diffraction line list. Radiation: Cu Ka. Structure: a structure optimized by DFT (GGA-PBE).
Intensities are scaled so that the largest is 100.

Structural model:
```
CsPrFe2Br8
1.0
5.733 -3.946 0.000
5.733 3.946 0.000
-1.394 0.000 10.605
Cs Pr Fe Br
1 1 2 8
Cartesian
0.000 0.000 0.000 Cs
-0.697 0.000 5.303 Pr
3.422 0.000 7.545 Fe
6.651 0.000 3.060 Fe
5.099 1.948 3.135 Br
2.225 0.000 5.404 Br
4.974 1.948 7.470 Br
2.311 0.000 9.629 Br
7.762 0.000 0.976 Br
5.099 -1.948 3.135 Br
7.848 0.000 5.201 Br
4.974 -1.948 7.470 Br
```

Peak list (10 most intense, 2θ = 10–80°, by intensity)
2θ (°), I_rel
28.19, 100
22.47, 71
26.08, 51
44.46, 48
31.49, 42
15.59, 36
15.48, 29
27.91, 27
44.58, 26
46.00, 26